This entry pairs a crystal structure of Ca7Ni4Sn13 with its calculated X-ray powder pattern. Radiation: Cu Kα (λ = 1.5418 Å). Structure: a structure optimized by DFT (PBE).
Peak positions follow from Bragg's law for the DFT cell and can differ from measured ones.

Principal peaks in the range 15° ≤ 2θ ≤ 90°, low angle first:
- 2θ 19.10, I 18, hkl 0 0 1
- 2θ 31.57, I 100, hkl 1 3 1
- 2θ 34.49, I 21, hkl 2 3 1
- 2θ 35.49, I 30, hkl 4 2 0
- 2θ 38.75, I 34, hkl 0 0 2
- 2θ 39.85, I 21, hkl 3 4 0
- 2θ 43.07, I 18, hkl 5 2 0
- 2θ 44.55, I 29, hkl 4 3 1
- 2θ 53.56, I 18, hkl 4 2 2
- 2θ 61.29, I 16, hkl 7 1 1

Structural model:
```
data_Ca7Ni4Sn13
_space_group_name_H-M_alt 'P 4/m'
_space_group_IT_number 83
_space_group_name_Hall '-P 4'
_cell_length_a 11.3108
_cell_length_b 11.3108
_cell_length_c 4.6471
_cell_angle_alpha 90.00
_cell_angle_beta 90.00
_cell_angle_gamma 90.00
loop_
_atom_site_label
_atom_site_type_symbol
_atom_site_fract_x
_atom_site_fract_y
_atom_site_fract_z
Ca1 Ca 0.0000 0.0000 0.0000
Ca2 Ca 0.0000 0.5000 0.5000
Ca3 Ca 0.3295 0.3370 0.5000
Ni1 Ni 0.1191 0.7243 0.0000
Sn1 Sn 0.0757 0.8091 0.5000
Sn2 Sn 0.1106 0.2831 0.0000
Sn3 Sn 0.2145 0.5182 0.0000
Sn4 Sn 0.5000 0.5000 0.0000
```

---

This entry pairs a crystal structure of CaNp with its calculated X-ray powder pattern. Radiation: Cu Kα (λ = 1.5418 Å). Structure: a structure optimized by DFT (PBE).
Peak positions follow from Bragg's law for the DFT cell and can differ from measured ones.

Principal peaks in the range 15° ≤ 2θ ≤ 90°, low angle first:
- 2θ 28.53, I 45, hkl 0 0 6
- 2θ 30.80, I 52, hkl 1 0 1
- 2θ 31.92, I 100, hkl 0 1 2
- 2θ 36.07, I 72, hkl 1 0 4
- 2θ 38.93, I 28, hkl 0 1 5
- 2θ 45.81, I 18, hkl 1 0 7
- 2θ 49.73, I 29, hkl 0 1 8
- 2θ 54.06, I 23, hkl 1 1 0
- 2θ 56.18, I 21, hkl 1 1 3
- 2θ 62.26, I 30, hkl 1 1 6

Structural model:
```
data_CaNp
_space_group_name_H-M_alt 'R -3 m'
_space_group_IT_number 166
_space_group_name_Hall '-R 3 2"'
_cell_length_a 3.3925
_cell_length_b 3.3925
_cell_length_c 18.7715
_cell_angle_alpha 90.00
_cell_angle_beta 90.00
_cell_angle_gamma 120.00
loop_
_atom_site_label
_atom_site_type_symbol
_atom_site_fract_x
_atom_site_fract_y
_atom_site_fract_z
Ca1 Ca 0.0000 0.0000 0.0000
Np1 Np 0.0000 0.0000 0.5000
```